[1]
For PrAl5Ni2, DFT lattice parameters and positions (GGA-PBE) gives the calculated PXRD pattern in this record (CuKα).
Kinematic intensities with the Lorentz-polarization factor, no thermal factor.

Peak list (12 most intense, 10 to 90 degrees two-theta, in order of rising 2θ)
hkl 0 1 1, 2θ 15.6, 5.692 Å, I 34; hkl 1 0 1, 2θ 24.1, 3.692 Å, I 28; hkl 0 2 0, 2θ 25.3, 3.526 Å, I 42; hkl 0 1 3, 2θ 30.6, 2.924 Å, I 36; hkl 1 1 2, 2θ 31.7, 2.820 Å, I 100; hkl 1 2 1, 2θ 35.2, 2.550 Å, I 72; hkl 1 0 3, 2θ 35.9, 2.505 Å, I 42; hkl 2 0 0, 2θ 45.4, 1.999 Å, I 29; hkl 0 2 4, 2θ 45.6, 1.990 Å, I 41; hkl 1 3 2, 2θ 48.8, 1.868 Å, I 46; hkl 2 2 0, 2θ 52.7, 1.738 Å, I 19; hkl 2 2 4, 2θ 66.3, 1.410 Å, I 26

Structural model:
Cell lengths 3.997, 7.052, 9.641 Å; angles 90.00, 90.00, 90.00 degrees
Space group Immm (No. 71)
Asymmetric unit:
Pr 0.000 0.000 0.000
Al 0.000 0.190 0.341
Al 0.000 0.500 0.000
Ni 0.000 0.500 0.238

---

[2]
For PrAl3Ni2, DFT lattice parameters and positions (GGA-PBE) gives the calculated PXRD pattern in this record (CuKα).
Kinematic intensities with the Lorentz-polarization factor, no thermal factor.

Peak list (12 most intense, 10 to 90 degrees two-theta, in order of rising 2θ)
hkl 0 0 1, 2θ 22.1, 4.017 Å, I 32; hkl 1 0 1, 2θ 29.4, 3.040 Å, I 28; hkl 1 1 0, 2θ 33.4, 2.686 Å, I 57; hkl 2 0 0, 2θ 38.7, 2.326 Å, I 16; hkl 1 1 1, 2θ 40.4, 2.233 Å, I 100; hkl 0 0 2, 2θ 45.1, 2.009 Å, I 17; hkl 1 1 2, 2θ 57.3, 1.609 Å, I 32; hkl 3 0 1, 2θ 64.4, 1.447 Å, I 24; hkl 2 2 0, 2θ 70.1, 1.343 Å, I 13; hkl 3 0 2, 2θ 77.8, 1.228 Å, I 13; hkl 1 1 3, 2θ 80.1, 1.198 Å, I 13; hkl 2 2 2, 2θ 87.3, 1.116 Å, I 14

Structural model:
Cell lengths 5.3716, 5.3716, 4.0171 Å; angles 90.00, 90.00, 120.00 degrees
Space group P6/mmm (No. 191)
Asymmetric unit:
Pr 0.0000 0.0000 0.0000
Al 0.0000 0.5000 0.5000
Ni 0.3333 0.6667 0.0000

---

[3]
For Pr3AlNi8, DFT lattice parameters and positions (GGA-PBE) gives the calculated PXRD pattern in this record (CuKα).
Kinematic intensities with the Lorentz-polarization factor, no thermal factor.

Peak list (12 most intense, 10 to 90 degrees two-theta, in order of rising 2θ)
hkl 1 0 5, 2θ 34.1, 2.629 Å, I 93; hkl 1 1 0, 2θ 34.8, 2.581 Å, I 57; hkl 2 0 0, 2θ 40.3, 2.235 Å, I 22; hkl 2 0 1, 2θ 40.7, 2.215 Å, I 52; hkl 1 1 4, 2θ 41.4, 2.179 Å, I 100; hkl 2 0 3, 2θ 43.8, 2.066 Å, I 35; hkl 1 1 6, 2θ 48.7, 1.868 Å, I 20; hkl 2 1 5, 2θ 61.9, 1.499 Å, I 32; hkl 3 0 4, 2θ 66.9, 1.399 Å, I 23; hkl 1 1 10, 2θ 68.2, 1.375 Å, I 19; hkl 2 2 0, 2θ 73.4, 1.291 Å, I 28; hkl 3 1 5, 2θ 83.4, 1.158 Å, I 18

Structural model:
Cell lengths 5.1624, 5.1624, 16.2484 Å; angles 90.00, 90.00, 120.00 degrees
Space group P6_3/mmc (No. 194)
Asymmetric unit:
Pr 0.3333 0.6667 0.0462
Pr 0.3333 0.6667 0.2500
Al 0.0000 0.0000 0.0000
Ni 0.0000 0.0000 0.2500
Ni 0.1679 0.3358 0.6275
Ni 0.3333 0.6667 0.7500

---

[4]
For PrAl2Ni3, DFT lattice parameters and positions (GGA-PBE) gives the calculated PXRD pattern in this record (CuKα).
Kinematic intensities with the Lorentz-polarization factor, no thermal factor.

Peak list (12 most intense, 10 to 90 degrees two-theta, in order of rising 2θ)
hkl 1 0 1, 2θ 30.4, 2.944 Å, I 100; hkl 1 1 0, 2θ 33.7, 2.661 Å, I 20; hkl 2 0 0, 2θ 39.1, 2.304 Å, I 75; hkl 1 1 1, 2θ 41.3, 2.185 Å, I 90; hkl 0 0 2, 2θ 47.5, 1.914 Å, I 22; hkl 2 1 1, 2θ 58.2, 1.585 Å, I 31; hkl 2 0 2, 2θ 63.2, 1.472 Å, I 34; hkl 3 0 1, 2θ 65.5, 1.426 Å, I 22; hkl 2 2 0, 2θ 70.8, 1.330 Å, I 19; hkl 3 1 1, 2θ 79.0, 1.212 Å, I 12; hkl 1 1 3, 2θ 84.2, 1.150 Å, I 11; hkl 2 2 2, 2θ 89.8, 1.092 Å, I 21

Structural model:
Cell lengths 5.3214, 5.3214, 3.8273 Å; angles 90.00, 90.00, 120.00 degrees
Space group P6/mmm (No. 191)
Asymmetric unit:
Pr 0.0000 0.0000 0.0000
Al 0.3333 0.6667 0.0000
Ni 0.0000 0.5000 0.5000

---

[5]
For Al2NiPt, DFT lattice parameters and positions (GGA-PBE) gives the calculated PXRD pattern in this record (CuKα).
Kinematic intensities with the Lorentz-polarization factor, no thermal factor.

Peak list (12 most intense, 10 to 90 degrees two-theta, in order of rising 2θ)
hkl 0 0 1, 2θ 14.8, 5.983 Å, I 32; hkl 0 0 2, 2θ 29.8, 2.997 Å, I 57; hkl 1 0 1, 2θ 33.4, 2.681 Å, I 24; hkl 1 1 0, 2θ 42.7, 2.119 Å, I 100; hkl 1 1 1, 2θ 45.4, 1.999 Å, I 9; hkl 1 1 2, 2θ 52.9, 1.730 Å, I 16; hkl 2 0 0, 2θ 61.9, 1.499 Å, I 11; hkl 1 1 3, 2θ 64.1, 1.454 Å, I 8; hkl 2 0 2, 2θ 70.2, 1.341 Å, I 13; hkl 1 0 4, 2θ 70.3, 1.339 Å, I 7; hkl 2 1 2, 2θ 78.1, 1.224 Å, I 22; hkl 1 1 4, 2θ 78.2, 1.222 Å, I 11

Structural model:
Cell lengths 2.999, 2.999, 5.983 Å; angles 90.00, 90.00, 90.00 degrees
Space group P4/mmm (No. 123)
Asymmetric unit:
Al 0.000 0.000 0.230
Ni 0.500 0.500 0.000
Pt 0.500 0.500 0.500

---

[6]
For U3Al3NiRu2, DFT lattice parameters and positions (GGA-PBE) gives the calculated PXRD pattern in this record (CuKα).
Kinematic intensities with the Lorentz-polarization factor, no thermal factor.

Peak list (12 most intense, 10 to 90 degrees two-theta, in order of rising 2θ)
hkl 1 0 0, 2θ 14.8, 5.975 Å, I 29; hkl 0 0 1, 2θ 22.5, 3.945 Å, I 26; hkl 1 1 0, 2θ 25.8, 3.450 Å, I 37; hkl 2 0 0, 2θ 29.9, 2.988 Å, I 30; hkl 1 1 1, 2θ 34.5, 2.597 Å, I 100; hkl 2 0 1, 2θ 37.8, 2.382 Å, I 90; hkl 2 1 0, 2θ 39.9, 2.258 Å, I 29; hkl 0 0 2, 2θ 46.0, 1.973 Å, I 21; hkl 2 1 1, 2θ 46.3, 1.960 Å, I 18; hkl 3 1 0, 2θ 55.4, 1.657 Å, I 28; hkl 3 1 1, 2θ 60.6, 1.528 Å, I 37; hkl 3 1 2, 2θ 74.8, 1.269 Å, I 24

Structural model:
Cell lengths 6.8998, 6.8998, 3.9453 Å; angles 90.00, 90.00, 120.00 degrees
Space group P-62m (No. 189)
Asymmetric unit:
U 0.0000 0.4182 0.0000
Al 0.0000 0.7659 0.5000
Ni 0.0000 0.0000 0.0000
Ru 0.3333 0.6667 0.5000

---

[7]
For AlNi2S4, DFT lattice parameters and positions (GGA-PBE) gives the calculated PXRD pattern in this record (CuKα).
Kinematic intensities with the Lorentz-polarization factor, no thermal factor.

Peak list (12 most intense, 10 to 90 degrees two-theta, in order of rising 2θ)
hkl 0 1 1, 2θ 15.8, 5.615 Å, I 68; hkl 1 0 1, 2θ 16.0, 5.556 Å, I 14; hkl 2 1 1, 2θ 30.5, 2.928 Å, I 13; hkl 0 1 3, 2θ 31.1, 2.874 Å, I 11; hkl 2 2 0, 2θ 36.7, 2.446 Å, I 100; hkl 0 0 4, 2θ 38.0, 2.366 Å, I 46; hkl 2 3 1, 2θ 48.2, 1.886 Å, I 11; hkl 0 4 0, 2θ 52.5, 1.744 Å, I 15; hkl 4 0 0, 2θ 53.4, 1.716 Å, I 16; hkl 2 2 4, 2θ 53.9, 1.701 Å, I 60; hkl 0 4 4, 2θ 66.6, 1.404 Å, I 14; hkl 4 0 4, 2θ 67.4, 1.389 Å, I 15

Structural model:
Cell lengths 6.863, 6.975, 9.464 Å; angles 90.00, 90.00, 90.00 degrees
Space group Imma (No. 74)
Asymmetric unit:
Al 0.000 0.000 0.000
Ni 0.000 0.000 0.500
Ni 0.250 0.250 0.250
S 0.000 0.028 0.258
S 0.242 0.250 0.005

---

[8]
For Sm3AlNiS7, DFT lattice parameters and positions (GGA-PBE) gives the calculated PXRD pattern in this record (CuKα).
Kinematic intensities with the Lorentz-polarization factor, no thermal factor.

Peak list (12 most intense, 10 to 90 degrees two-theta, in order of rising 2θ)
hkl 1 0 1, 2θ 17.9, 4.958 Å, I 44; hkl 1 1 1, 2θ 23.3, 3.819 Å, I 27; hkl 2 0 1, 2θ 25.6, 3.482 Å, I 100; hkl 1 2 0, 2θ 27.9, 3.202 Å, I 37; hkl 1 1 2, 2θ 34.6, 2.593 Å, I 24; hkl 3 0 1, 2θ 35.0, 2.564 Å, I 36; hkl 2 0 2, 2θ 36.2, 2.479 Å, I 45; hkl 2 2 0, 2θ 36.8, 2.445 Å, I 36; hkl 1 2 2, 2θ 40.8, 2.211 Å, I 31; hkl 3 1 1, 2θ 41.2, 2.193 Å, I 36; hkl 2 0 3, 2θ 49.6, 1.837 Å, I 23; hkl 1 4 1, 2θ 51.7, 1.769 Å, I 25

Structural model:
Cell lengths 9.7815, 9.7815, 6.1151 Å; angles 90.00, 90.00, 120.00 degrees
Space group P6_3 (No. 173)
Asymmetric unit:
Sm 0.1448 0.3729 0.0000
Al 0.3333 0.6667 0.4263
Ni 0.0000 0.0000 0.2960
S 0.0913 0.2290 0.5673
S 0.0943 0.5759 0.2748
S 0.3333 0.6667 0.7905

---

[9]
For AlNi3Sb, DFT lattice parameters and positions (GGA-PBE) gives the calculated PXRD pattern in this record (CuKα).
Kinematic intensities with the Lorentz-polarization factor, no thermal factor.

Peak list (12 most intense, 10 to 90 degrees two-theta, in order of rising 2θ)
hkl 0 0 1, 2θ 18.0, 4.938 Å, I 68; hkl 1 0 1, 2θ 30.9, 2.892 Å, I 56; hkl 1 1 0, 2θ 44.0, 2.060 Å, I 100; hkl 1 0 2, 2θ 44.6, 2.030 Å, I 92; hkl 1 1 1, 2θ 47.9, 1.901 Å, I 32; hkl 2 0 1, 2θ 54.7, 1.678 Å, I 11; hkl 2 0 2, 2θ 64.4, 1.446 Å, I 29; hkl 2 1 1, 2θ 72.7, 1.301 Å, I 9; hkl 1 1 3, 2θ 73.7, 1.286 Å, I 10; hkl 3 0 0, 2θ 80.8, 1.189 Å, I 15; hkl 2 1 2, 2θ 81.3, 1.183 Å, I 29; hkl 3 0 1, 2θ 83.7, 1.156 Å, I 6

Structural model:
Cell lengths 4.1190, 4.1190, 4.9385 Å; angles 90.00, 90.00, 120.00 degrees
Space group P-6m2 (No. 187)
Asymmetric unit:
Al 0.0000 0.0000 0.0000
Ni 0.0000 0.0000 0.5000
Ni 0.3333 0.6667 0.2443
Sb 0.6667 0.3333 0.5000

---

[10]
For ScAl2Ni, DFT lattice parameters and positions (GGA-PBE) gives the calculated PXRD pattern in this record (CuKα).
Kinematic intensities with the Lorentz-polarization factor, no thermal factor.

Peak list (12 most intense, 10 to 90 degrees two-theta, in order of rising 2θ)
hkl 0 2 0, 2θ 18.6, 4.772 Å, I 30; hkl 0 0 2, 2θ 26.7, 3.343 Å, I 32; hkl 1 1 1, 2θ 27.6, 3.236 Å, I 26; hkl 1 1 2, 2θ 36.2, 2.480 Å, I 88; hkl 1 3 1, 2θ 38.5, 2.336 Å, I 100; hkl 0 4 1, 2θ 40.1, 2.247 Å, I 55; hkl 2 0 0, 2θ 45.2, 2.006 Å, I 44; hkl 1 3 2, 2θ 45.4, 1.998 Å, I 33; hkl 1 1 3, 2θ 47.6, 1.909 Å, I 37; hkl 1 3 3, 2θ 55.3, 1.661 Å, I 18; hkl 2 4 1, 2θ 62.0, 1.496 Å, I 27; hkl 1 7 0, 2θ 73.3, 1.291 Å, I 19

Structural model:
Cell lengths 4.011, 9.545, 6.686 Å; angles 90.00, 90.00, 90.00 degrees
Space group Cmcm (No. 63)
Asymmetric unit:
Sc 0.000 0.067 0.250
Al 0.000 0.354 0.051
Ni 0.000 0.210 0.750

---

[11]
For AlSiNi6, DFT lattice parameters and positions (GGA-PBE) gives the calculated PXRD pattern in this record (CuKα).
Kinematic intensities with the Lorentz-polarization factor, no thermal factor.

Peak list (12 most intense, 10 to 90 degrees two-theta, in order of rising 2θ)
hkl 1 0 0, 2θ 25.3, 3.526 Å, I 7; hkl 0 0 2, 2θ 25.4, 3.501 Å, I 3; hkl 1 1 0, 2θ 36.0, 2.494 Å, I 3; hkl 1 0 2, 2θ 36.2, 2.484 Å, I 5; hkl 1 1 2, 2θ 44.6, 2.031 Å, I 100; hkl 2 0 0, 2θ 51.9, 1.763 Å, I 31; hkl 0 0 4, 2θ 52.3, 1.750 Å, I 15; hkl 2 1 0, 2θ 58.6, 1.576 Å, I 2; hkl 1 0 4, 2θ 58.9, 1.568 Å, I 1; hkl 2 1 2, 2θ 64.8, 1.438 Å, I 2; hkl 2 2 0, 2θ 76.4, 1.247 Å, I 9; hkl 2 0 4, 2θ 76.7, 1.242 Å, I 18

Structural model:
Cell lengths 3.526, 3.526, 7.002 Å; angles 90.00, 90.00, 90.00 degrees
Space group P4/mmm (No. 123)
Asymmetric unit:
Al 0.000 0.000 0.000
Si 0.000 0.000 0.500
Ni 0.000 0.500 0.257
Ni 0.500 0.500 0.000
Ni 0.500 0.500 0.500

---

[12]
For AlSi9Ni16, DFT lattice parameters and positions (GGA-PBE) gives the calculated PXRD pattern in this record (CuKα).
Kinematic intensities with the Lorentz-polarization factor, no thermal factor.

Peak list (12 most intense, 10 to 90 degrees two-theta, in order of rising 2θ)
hkl 1 1 3, 2θ 26.9, 3.312 Å, I 16; hkl 5 2 0, 2θ 43.0, 2.103 Å, I 8; hkl 2 1 5, 2θ 44.1, 2.053 Å, I 37; hkl 6 0 0, 2θ 45.0, 2.014 Å, I 58; hkl 3 3 3, 2θ 45.9, 1.978 Å, I 100; hkl 5 2 2, 2θ 46.0, 1.971 Å, I 25; hkl 3 1 5, 2θ 47.4, 1.919 Å, I 11; hkl 3 4 0, 2θ 48.2, 1.888 Å, I 17; hkl 0 0 6, 2θ 48.4, 1.881 Å, I 8; hkl 0 3 5, 2θ 51.7, 1.769 Å, I 21; hkl 8 1 5, 2θ 76.8, 1.242 Å, I 9; hkl 5 2 8, 2θ 82.3, 1.172 Å, I 11

Structural model:
Cell lengths 12.078, 8.553, 11.286 Å; angles 90.00, 90.00, 90.00 degrees
Space group Ama2 (No. 40)
Asymmetric unit:
Al 0.250 0.034 0.000
Si 0.094 0.087 0.182
Si 0.101 0.305 0.995
Si 0.106 0.309 0.371
Si 0.143 0.158 0.683
Si 0.250 0.027 0.374
Ni 0.058 0.368 0.799
Ni 0.059 0.373 0.183
Ni 0.060 0.366 0.566
Ni 0.076 0.090 0.877
Ni 0.078 0.086 0.488
Ni 0.250 0.216 0.205
Ni 0.250 0.244 0.500
Ni 0.250 0.254 0.870
Ni 0.250 0.420 0.689
Ni 0.250 0.449 0.070
Ni 0.250 0.467 0.293